# 1
The following is a calculated powder XRD pattern of Sm4Ge9Ir13. It was derived from a crystal structure in Alexandria, relaxed with PBE, using CuKα.
Intensities are scaled so that the largest is 100.

Structural model:
```
Sm4Ge9Ir13
1.0
4.040 0.000 0.000
0.000 11.333 0.000
0.000 0.000 19.615
Sm Ge Ir
8 18 26
Direct
0.250 0.060 0.208 Sm
0.250 0.250 0.022 Sm
0.250 0.440 0.208 Sm
0.250 0.750 0.520 Sm
0.750 0.250 0.480 Sm
0.750 0.560 0.792 Sm
0.750 0.750 0.978 Sm
0.750 0.940 0.792 Sm
0.250 0.069 0.415 Ge
0.250 0.121 0.731 Ge
0.250 0.250 0.601 Ge
0.250 0.379 0.731 Ge
0.250 0.431 0.415 Ge
0.250 0.563 0.919 Ge
0.250 0.750 0.101 Ge
0.250 0.750 0.733 Ge
0.250 0.937 0.919 Ge
0.750 0.063 0.081 Ge
0.750 0.250 0.267 Ge
0.750 0.250 0.899 Ge
0.750 0.437 0.081 Ge
0.750 0.569 0.585 Ge
0.750 0.621 0.269 Ge
0.750 0.750 0.399 Ge
0.750 0.879 0.269 Ge
0.750 0.931 0.585 Ge
0.250 0.058 0.540 Ir
0.250 0.127 0.858 Ir
0.250 0.250 0.343 Ir
0.250 0.373 0.858 Ir
0.250 0.442 0.540 Ir
0.250 0.549 0.047 Ir
0.250 0.567 0.663 Ir
0.250 0.623 0.354 Ir
0.250 0.750 0.227 Ir
0.250 0.750 0.858 Ir
0.250 0.877 0.354 Ir
0.250 0.933 0.663 Ir
0.250 0.951 0.047 Ir
0.750 0.049 0.953 Ir
0.750 0.067 0.337 Ir
0.750 0.123 0.646 Ir
0.750 0.250 0.142 Ir
0.750 0.250 0.773 Ir
0.750 0.377 0.646 Ir
0.750 0.433 0.337 Ir
0.750 0.451 0.953 Ir
0.750 0.558 0.460 Ir
0.750 0.627 0.142 Ir
0.750 0.750 0.657 Ir
0.750 0.873 0.142 Ir
0.750 0.942 0.460 Ir
```

Most intense lines, 2θ from 15° to 90°, sorted by position:
35.3 deg, intensity 100.0; 40.1 deg, intensity 16.2; 44.9 deg, intensity 25.3; 46.2 deg, intensity 23.8; 48.2 deg, intensity 18.6; 68.0 deg, intensity 13.3

=====

# 2
The following is a calculated powder XRD pattern of Sm2Ge3Ir3. It was derived from a crystal structure in Alexandria, relaxed with PBE, using CuKα.
Intensities are scaled so that the largest is 100.

Structural model:
```
Sm2Ge3Ir3
1.0
2.871 0.000 0.000
0.000 2.871 0.000
0.000 0.000 20.812
Sm Ge Ir
2 3 3
Direct
0.000 0.000 0.242 Sm
0.000 0.000 0.758 Sm
0.000 0.000 0.000 Ge
0.000 0.000 0.385 Ge
0.000 0.000 0.615 Ge
0.000 0.000 0.115 Ir
0.000 0.000 0.500 Ir
0.000 0.000 0.885 Ir
```

Most intense lines, 2θ from 15° to 90°, sorted by position:
31.1 deg, intensity 100.0; 34.5 deg, intensity 31.9; 44.6 deg, intensity 37.4; 47.1 deg, intensity 53.3; 57.6 deg, intensity 29.6; 84.1 deg, intensity 20.3